Record 1
Theoretical powder diffractogram
Compound: Ac2ZrIr3O12
Radiation: Cu Kα, 1.54184 Å
Structure: the PBE geometry in Alexandria
Peak positions follow from Bragg's law for the DFT cell and can differ from measured ones.

Structural model:
a = 6.8210 Å, b = 6.8210 Å, c = 6.8210 Å
α = 63.21°, β = 63.21°, γ = 63.21°
Fractional positions:
Ac: 0.1175 0.1175 0.1175
Ac: 0.8825 0.8825 0.8825
Zr: 0.5000 0.5000 0.5000
Ir: 0.0000 0.5000 0.5000
Ir: 0.5000 0.0000 0.5000
Ir: 0.5000 0.5000 0.0000
O: 0.1135 0.6261 0.6261
O: 0.1939 0.1939 0.6328
O: 0.1939 0.6328 0.1939
O: 0.3672 0.8061 0.8061
O: 0.3739 0.3739 0.8865
O: 0.3739 0.8865 0.3739
O: 0.6261 0.1135 0.6261
O: 0.6261 0.6261 0.1135
O: 0.6328 0.1939 0.1939
O: 0.8061 0.3672 0.8061
O: 0.8061 0.8061 0.3672
O: 0.8865 0.3739 0.3739

The 10 most intense peaks (5° ≤ 2θ ≤ 70°), sorted by position:
| d (Å) | I (rel.) |
| --- | --- |
| 3.403 | 48 |
| 3.041 | 100 |
| 2.986 | 85 |
| 2.894 | 54 |
| 2.883 | 49 |
| 1.929 | 25 |
| 1.901 | 28 |
| 1.787 | 51 |
| 1.701 | 33 |
| 1.520 | 24 |

---

Record 2
Theoretical powder diffractogram
Compound: AcIrOs
Radiation: Cu Kα, 1.54184 Å
Structure: the PBE geometry in Alexandria
Peak positions follow from Bragg's law for the DFT cell and can differ from measured ones.

Structural model:
a = 4.4698 Å, b = 4.7460 Å, c = 8.7977 Å
α = 90.00°, β = 90.00°, γ = 90.00°
Fractional positions:
Ac: 0.2500 0.2500 0.1590
Ac: 0.7500 0.7500 0.8410
Ir: 0.2500 0.2500 0.5190
Ir: 0.7500 0.7500 0.4810
Os: 0.2500 0.7500 0.6036
Os: 0.7500 0.2500 0.3964

The 10 most intense peaks (5° ≤ 2θ ≤ 70°), sorted by position:
| d (Å) | I (rel.) |
| --- | --- |
| 8.798 | 100 |
| 4.177 | 61 |
| 3.254 | 22 |
| 3.135 | 71 |
| 2.933 | 18 |
| 2.373 | 33 |
| 2.235 | 28 |
| 2.178 | 63 |
| 1.892 | 35 |
| 1.627 | 21 |